The following is a calculated X-ray powder pattern of Ba3Na2Ti3Nb2O15. It was derived from a crystal structure in Alexandria, relaxed with PBE, using Cu Kα, 1.54184 Å.
No peak broadening, texture or thermal motion is included.

Main lines, low angle first (2θ from 15° to 90°):
2theta  I_rel
18.2  15
22.9  10
27.0  8
31.4  100
38.8  10
39.3  5
45.0  38
56.0  38
65.6  18
74.5  14

Structure:
abc: 5.685 28.477 4.028
angles: 90.00 90.00 90.00
Space group Cmmm (No. 65)
Unique sites:
Ba: 0.000 0.000 0.000 x2
Ba: 0.000 0.401 0.000 x4
Na: 0.000 0.194 0.000 x4
Ti: 0.000 0.101 0.500 x4
Ti: 0.000 0.500 0.500 x2
Nb: 0.000 0.299 0.500 x4
O: 0.000 0.101 0.000 x4
O: 0.000 0.300 0.000 x4
O: 0.000 0.500 0.000 x2
O: 0.250 0.050 0.500 x8
O: 0.250 0.150 0.500 x8
O: 0.250 0.250 0.500 x4